[1]
Structure and computed powder diffractogram of Hg6Br (a structure optimized by DFT (PBE); a wavelength of 1.5418 Å).
No peak broadening, texture or thermal motion is included.

Crystal structure
a = 7.5279 Å, b = 7.5279 Å, c = 7.8782 Å
α = 90.00°, β = 90.00°, γ = 90.00°
Space group P4/nbm (No. 125, origin choice 2)
Inequivalent atoms, fractional coordinates:
Hg1 0.0923 0.5923 0.1557
Hg2 0.2500 0.2500 0.3116
Br1 0.2500 0.7500 0.5000

Largest 10 diffraction maxima, sorted by position, 15° ≤ 2θ ≤ 90°:
(hkl)  d/Å  Rel. int.
0 0 2  3.939  221
2 0 1  3.396  415
2 1 1  3.096  1000
2 2 0  2.662  241
2 1 2  2.559  756
3 1 0  2.381  540
1 1 3  2.355  434
2 0 3  2.154  258
3 1 2  2.037  342
3 3 3  1.470  316



[2]
Structure and computed powder diffractogram of HgBr5 (a structure optimized by DFT (PBE); a wavelength of 1.5418 Å).
No peak broadening, texture or thermal motion is included.

Crystal structure
a = 16.2282 Å, b = 3.9192 Å, c = 7.3181 Å
α = 90.00°, β = 104.67°, γ = 90.00°
Space group Cm (No. 8)
Inequivalent atoms, fractional coordinates:
Hg1 0.0000 0.0000 0.0000
Br1 0.0299 0.5000 0.2714
Br2 0.0317 0.5000 0.7644
Br3 0.2816 0.0000 0.2143
Br4 0.2828 0.0000 0.5368
Br5 0.3137 0.5000 0.8919

Largest 10 diffraction maxima, sorted by position, 15° ≤ 2θ ≤ 90°:
(hkl)  d/Å  Rel. int.
2 0 1  4.699  210
4 0 0  3.925  1000
1 1 -1  3.439  653
1 1 -2  2.674  687
5 1 -1  2.472  246
2 0 -3  2.436  202
5 1 -2  2.232  274
3 1 2  2.188  447
0 2 0  1.960  253
4 2 0  1.753  205



[3]
Structure and computed powder diffractogram of Hg5Br2 (a structure optimized by DFT (PBE); a wavelength of 1.5418 Å).
No peak broadening, texture or thermal motion is included.

Crystal structure
a = 16.5054 Å, b = 6.8363 Å, c = 9.0478 Å
α = 90.00°, β = 103.37°, γ = 90.00°
Space group C2/c (No. 15)
Inequivalent atoms, fractional coordinates:
Hg1 0.0000 0.2369 0.2500
Hg2 0.1338 0.2386 0.4895
Hg3 0.2480 0.2603 0.2375
Br1 0.1215 0.2643 0.9781

Largest 10 diffraction maxima, sorted by position, 15° ≤ 2θ ≤ 90°:
(hkl)  d/Å  Rel. int.
1 1 -1  5.352  534
0 2 0  3.418  1000
4 0 -2  3.381  945
4 0 2  2.674  529
4 2 -2  2.404  749
0 0 4  2.201  341
4 2 2  2.106  523
8 0 0  2.007  234
0 2 4  1.850  328
8 2 0  1.731  276